Record 1
Computed X-ray powder pattern
Compound: TcRu2Pt
Radiation: Cu Kα (λ = 1.5418 Å)
Structure: a DFT-relaxed cell (GGA-PBE, Alexandria)

Largest 12 diffraction maxima, in order of falling intensity, 2θ = 10–80°:
2θ 40.41, I 1000; 2θ 46.53, I 167; 2θ 47.02, I 162; 2θ 47.48, I 156; 2θ 68.30, I 105; 2θ 68.67, I 102; 2θ 69.05, I 101; 2θ 11.55, I 53; 2θ 22.78, I 35; 2θ 32.92, I 29; 2θ 34.70, I 28; 2θ 25.82, I 27

Cell and atoms:
```
TcRu2Pt
1.0
3.865 0.000 0.000
0.000 3.904 0.000
0.000 0.000 7.660
Tc Ru Pt
2 4 2
Direct
0.250 0.000 0.131
0.750 0.000 0.869
0.250 0.000 0.625
0.250 0.500 0.377
0.750 0.000 0.375
0.750 0.500 0.623
0.250 0.500 0.872
0.750 0.500 0.128
```



Record 2
Computed X-ray powder pattern
Compound: GeH2Au2
Radiation: Cu Kα (λ = 1.5418 Å)
Structure: a DFT-relaxed cell (GGA-PBE, Alexandria)

Largest 12 diffraction maxima, in order of falling intensity, 2θ = 10–80°:
2θ 37.34, I 1000; 2θ 20.17, I 542; 2θ 31.09, I 370; 2θ 44.54, I 312; 2θ 77.25, I 250; 2θ 62.13, I 232; 2θ 49.35, I 218; 2θ 40.99, I 197; 2θ 52.33, I 180; 2θ 72.26, I 149; 2θ 79.61, I 117; 2θ 64.81, I 103

Cell and atoms:
```
GeH2Au2
1.0
4.069 0.000 0.000
0.000 4.069 0.000
0.000 0.000 8.806
Ge H Au
2 4 4
Direct
0.000 0.000 0.000
0.500 0.500 0.500
0.000 0.000 0.287
0.000 0.000 0.713
0.500 0.500 0.213
0.500 0.500 0.787
0.000 0.500 0.250
0.000 0.500 0.750
0.500 0.000 0.250
0.500 0.000 0.750
```



Record 3
Computed X-ray powder pattern
Compound: Rb2VSe2
Radiation: Cu Kα (λ = 1.5418 Å)
Structure: a DFT-relaxed cell (GGA-PBE, Alexandria)

Largest 12 diffraction maxima, in order of falling intensity, 2θ = 10–80°:
2θ 27.88, I 1000; 2θ 38.49, I 381; 2θ 31.84, I 317; 2θ 33.57, I 300; 2θ 26.02, I 261; 2θ 22.66, I 222; 2θ 36.56, I 209; 2θ 35.13, I 174; 2θ 56.94, I 159; 2θ 49.31, I 143; 2θ 42.96, I 130; 2θ 50.11, I 115

Cell and atoms:
```
Rb2VSe2
1.0
-3.835 6.850 3.202
3.835 -6.850 3.202
3.835 6.850 -3.202
Rb V Se
4 2 4
Direct
0.146 0.155 0.301
0.354 0.655 0.008
0.646 0.345 0.992
0.854 0.845 0.699
0.250 0.750 0.500
0.750 0.250 0.500
0.099 0.686 0.786
0.401 0.186 0.587
0.599 0.814 0.413
0.901 0.314 0.214
```



Record 4
Computed X-ray powder pattern
Compound: Ce2Sb2HO
Radiation: Cu Kα (λ = 1.5418 Å)
Structure: a DFT-relaxed cell (GGA-PBE, Alexandria)

Largest 12 diffraction maxima, in order of falling intensity, 2θ = 10–80°:
2θ 32.50, I 1000; 2θ 31.27, I 606; 2θ 44.81, I 250; 2θ 56.38, I 205; 2θ 56.49, I 186; 2θ 42.40, I 85; 2θ 74.79, I 80; 2θ 39.57, I 66; 2θ 58.70, I 65; 2θ 68.06, I 59; 2θ 48.35, I 55; 2θ 53.73, I 55

Cell and atoms:
```
Ce2Sb2HO
1.0
-2.857 7.526 2.864
2.857 -7.526 2.864
2.857 7.526 -2.864
Ce Sb H O
4 4 2 2
Direct
0.085 0.232 0.317
0.415 0.732 0.147
0.585 0.268 0.853
0.915 0.768 0.683
0.189 0.735 0.924
0.311 0.235 0.545
0.689 0.765 0.455
0.811 0.265 0.076
0.250 0.750 0.500
0.750 0.250 0.500
0.250 0.250 0.000
0.750 0.750 0.000
```



Record 5
Computed X-ray powder pattern
Compound: Li3SnAu3
Radiation: Cu Kα (λ = 1.5418 Å)
Structure: a DFT-relaxed cell (GGA-PBE, Alexandria)

Largest 12 diffraction maxima, in order of falling intensity, 2θ = 10–80°:
2θ 40.79, I 1000; 2θ 27.73, I 672; 2θ 13.76, I 339; 2θ 38.85, I 316; 2θ 19.88, I 253; 2θ 29.31, I 251; 2θ 32.51, I 219; 2θ 40.38, I 208; 2θ 71.65, I 195; 2θ 31.56, I 191; 2θ 50.67, I 172; 2θ 65.64, I 161

Cell and atoms:
```
Li3SnAu3
1.0
4.467 -4.636 0.000
4.467 4.636 0.000
0.000 0.000 6.095
Li Sn Au
6 2 6
Direct
0.236 0.764 0.000
0.249 0.249 0.500
0.250 0.750 0.500
0.750 0.250 0.500
0.751 0.751 0.500
0.764 0.236 0.000
0.307 0.307 0.000
0.693 0.693 0.000
0.000 0.000 0.251
0.000 0.000 0.749
0.000 0.500 0.264
0.000 0.500 0.736
0.500 0.000 0.264
0.500 0.000 0.736
```



Record 6
Computed X-ray powder pattern
Compound: PuCu2AuO8
Radiation: Cu Kα (λ = 1.5418 Å)
Structure: a DFT-relaxed cell (GGA-PBE, Alexandria)

Largest 12 diffraction maxima, in order of falling intensity, 2θ = 10–80°:
2θ 31.66, I 1000; 2θ 27.32, I 858; 2θ 51.09, I 716; 2θ 18.40, I 605; 2θ 66.12, I 297; 2θ 79.53, I 222; 2θ 39.03, I 215; 2θ 58.91, I 195; 2θ 33.15, I 170; 2θ 56.38, I 140; 2θ 63.76, I 139; 2θ 40.28, I 133

Cell and atoms:
```
PuCu2AuO8
1.0
-3.264 3.264 3.575
3.264 -3.264 3.575
3.264 3.264 -3.575
Pu Cu Au O
1 2 1 8
Direct
0.000 0.000 0.000
0.250 0.750 0.500
0.500 0.500 0.000
0.750 0.250 0.500
0.072 0.359 0.287
0.072 0.784 0.713
0.100 0.289 0.811
0.216 0.928 0.287
0.478 0.289 0.189
0.641 0.928 0.713
0.711 0.522 0.811
0.711 0.900 0.189
```



Record 7
Computed X-ray powder pattern
Compound: AgAuI4O12
Radiation: Cu Kα (λ = 1.5418 Å)
Structure: a DFT-relaxed cell (GGA-PBE, Alexandria)

Largest 12 diffraction maxima, in order of falling intensity, 2θ = 10–80°:
2θ 20.71, I 1000; 2θ 27.60, I 852; 2θ 26.14, I 725; 2θ 26.64, I 639; 2θ 30.77, I 446; 2θ 30.51, I 443; 2θ 21.44, I 344; 2θ 32.34, I 302; 2θ 34.19, I 282; 2θ 43.24, I 252; 2θ 38.44, I 241; 2θ 31.27, I 219

Cell and atoms:
```
AgAuI4O12
1.0
8.140 0.000 0.000
0.000 5.876 0.000
-3.965 0.000 12.554
Ag Au I O
2 2 8 24
Direct
0.000 0.109 0.000
0.000 0.891 0.500
0.448 0.252 0.964
0.448 0.748 0.464
0.148 0.115 0.292
0.148 0.885 0.792
0.265 0.441 0.627
0.265 0.559 0.127
0.642 0.051 0.309
0.642 0.949 0.809
0.752 0.403 0.639
0.752 0.597 0.139
0.072 0.400 0.143
0.072 0.600 0.643
0.121 0.074 0.677
0.121 0.926 0.177
0.165 0.338 0.494
0.165 0.662 0.994
0.208 0.123 0.898
0.208 0.877 0.398
0.361 0.245 0.316
0.361 0.755 0.816
0.372 0.285 0.097
0.372 0.715 0.597
0.516 0.215 0.829
0.516 0.785 0.329
0.542 0.266 0.619
0.542 0.734 0.119
0.689 0.377 0.028
0.689 0.623 0.528
0.741 0.127 0.447
0.741 0.873 0.947
0.779 0.404 0.251
0.779 0.596 0.751
0.833 0.103 0.795
0.833 0.897 0.295
```



Record 8
Computed X-ray powder pattern
Compound: Co13Rh3
Radiation: Cu Kα (λ = 1.5418 Å)
Structure: a DFT-relaxed cell (GGA-PBE, Alexandria)

Largest 12 diffraction maxima, in order of falling intensity, 2θ = 10–80°:
2θ 46.44, I 1000; 2θ 42.12, I 403; 2θ 44.00, I 339; 2θ 53.03, I 196; 2θ 73.87, I 196; 2θ 40.60, I 103; 2θ 29.58, I 83; 2θ 71.29, I 77; 2θ 61.40, I 56; 2θ 34.97, I 27; 2θ 19.98, I 21; 2θ 57.40, I 14

Cell and atoms:
```
Co13Rh3
1.0
5.132 0.000 0.000
-2.566 4.444 0.000
0.000 0.000 8.232
Co Rh
13 3
Direct
0.000 0.000 0.000
0.160 0.319 0.500
0.160 0.840 0.500
0.328 0.164 0.245
0.328 0.164 0.755
0.504 0.007 0.000
0.504 0.496 0.000
0.681 0.840 0.500
0.836 0.164 0.245
0.836 0.164 0.755
0.836 0.672 0.245
0.836 0.672 0.755
0.993 0.496 0.000
0.333 0.667 0.252
0.333 0.667 0.748
0.667 0.333 0.500
```